Structure and computed X-ray powder pattern of Ho3Mg4Sc (a cell relaxed with PBE; a wavelength of 1.5418 Å).
Intensities are scaled so that the largest is 100.

```
data_Ho3Mg4Sc
_cell_length_a 3.721
_cell_length_b 3.721
_cell_length_c 15.027
_cell_angle_alpha 90.00
_cell_angle_beta 90.00
_cell_angle_gamma 90.00
_space_group_name_H-M_alt 'P 1'
_space_group_IT_number 1
loop_
_space_group_symop_operation_xyz
'x,y,z'
loop_
_atom_site_label
_atom_site_type_symbol
_atom_site_fract_x
_atom_site_fract_y
_atom_site_fract_z
_atom_site_occupancy
Ho1 Ho 0.000 0.000 0.000 1
Ho2 Ho 0.000 0.000 0.256 1
Ho3 Ho 0.000 0.000 0.744 1
Mg1 Mg 0.500 0.500 0.128 1
Mg2 Mg 0.500 0.500 0.386 1
Mg3 Mg 0.500 0.500 0.614 1
Mg4 Mg 0.500 0.500 0.872 1
Sc1 Sc 0.000 0.000 0.500 1
```

The 8 most intense peaks (15 to 90 degrees two-theta), by angle:
- 2θ 23.68, intensity 29
- 2θ 23.92, intensity 56
- 2θ 33.91, intensity 100
- 2θ 34.08, intensity 50
- 2θ 41.92, intensity 26
- 2θ 48.97, intensity 21
- 2θ 60.57, intensity 17
- 2θ 60.89, intensity 36


Structure and computed X-ray powder pattern of Ag2BiBr6 (a cell relaxed with PBE; a wavelength of 1.5418 Å).
Intensities are scaled so that the largest is 100.

```
data_Ag2BiBr6
_cell_length_a 7.243
_cell_length_b 7.243
_cell_length_c 9.545
_cell_angle_alpha 106.60
_cell_angle_beta 106.60
_cell_angle_gamma 40.37
_space_group_name_H-M_alt 'P 1'
_space_group_IT_number 1
loop_
_space_group_symop_operation_xyz
'x,y,z'
loop_
_atom_site_label
_atom_site_type_symbol
_atom_site_fract_x
_atom_site_fract_y
_atom_site_fract_z
_atom_site_occupancy
Ag1 Ag 0.195 0.195 0.139 1
Ag2 Ag 0.805 0.805 0.861 1
Bi1 Bi 0.000 0.000 0.500 1
Br1 Br 0.020 0.020 0.215 1
Br2 Br 0.298 0.298 0.922 1
Br3 Br 0.362 0.362 0.424 1
Br4 Br 0.638 0.638 0.576 1
Br5 Br 0.702 0.702 0.078 1
Br6 Br 0.980 0.980 0.785 1
```

The 8 most intense peaks (15 to 90 degrees two-theta), by angle:
- 2θ 19.07, intensity 100
- 2θ 20.16, intensity 29
- 2θ 27.30, intensity 39
- 2θ 29.47, intensity 22
- 2θ 35.93, intensity 42
- 2θ 37.73, intensity 25
- 2θ 42.44, intensity 36
- 2θ 46.31, intensity 20


Structure and computed X-ray powder pattern of Na2CdHgF8 (a cell relaxed with PBE; a wavelength of 1.5418 Å).
Intensities are scaled so that the largest is 100.

```
data_Na2CdHgF8
_cell_length_a 3.959
_cell_length_b 5.518
_cell_length_c 7.962
_cell_angle_alpha 83.93
_cell_angle_beta 88.62
_cell_angle_gamma 83.99
_space_group_name_H-M_alt 'P 1'
_space_group_IT_number 1
loop_
_space_group_symop_operation_xyz
'x,y,z'
loop_
_atom_site_label
_atom_site_type_symbol
_atom_site_fract_x
_atom_site_fract_y
_atom_site_fract_z
_atom_site_occupancy
Na1 Na 0.002 0.011 0.238 1
Na2 Na 0.998 0.989 0.762 1
Cd1 Cd 0.500 0.500 0.000 1
Hg1 Hg 0.500 0.500 0.500 1
F1 F 0.040 0.737 0.029 1
F2 F 0.065 0.742 0.522 1
F3 F 0.440 0.271 0.721 1
F4 F 0.457 0.253 0.225 1
F5 F 0.543 0.747 0.775 1
F6 F 0.560 0.729 0.279 1
F7 F 0.935 0.258 0.478 1
F8 F 0.960 0.263 0.971 1
```

The 8 most intense peaks (15 to 90 degrees two-theta), by angle:
- 2θ 16.24, intensity 100
- 2θ 22.46, intensity 44
- 2θ 22.58, intensity 43
- 2θ 26.40, intensity 56
- 2θ 26.52, intensity 56
- 2θ 29.26, intensity 86
- 2θ 33.65, intensity 30
- 2θ 42.65, intensity 29


Structure and computed X-ray powder pattern of La4Fe3 (a cell relaxed with PBE; a wavelength of 1.5418 Å).
Intensities are scaled so that the largest is 100.

```
data_La4Fe3
_cell_length_a 5.381
_cell_length_b 5.381
_cell_length_c 6.452
_cell_angle_alpha 90.00
_cell_angle_beta 90.00
_cell_angle_gamma 120.00
_space_group_name_H-M_alt 'P 1'
_space_group_IT_number 1
loop_
_space_group_symop_operation_xyz
'x,y,z'
loop_
_atom_site_label
_atom_site_type_symbol
_atom_site_fract_x
_atom_site_fract_y
_atom_site_fract_z
_atom_site_occupancy
La1 La 0.000 0.000 0.238 1
La2 La 0.000 0.000 0.762 1
La3 La 0.333 0.667 0.500 1
La4 La 0.667 0.333 0.500 1
Fe1 Fe 0.000 0.500 0.000 1
Fe2 Fe 0.500 0.000 0.000 1
Fe3 Fe 0.500 0.500 0.000 1
```

The 8 most intense peaks (15 to 90 degrees two-theta), by angle:
- 2θ 33.30, intensity 57
- 2θ 33.79, intensity 100
- 2θ 36.17, intensity 37
- 2θ 38.64, intensity 16
- 2θ 41.19, intensity 30
- 2θ 54.63, intensity 18
- 2θ 59.82, intensity 38
- 2θ 79.96, intensity 16